(1)
# Tb8Er6Zr
Calculated X-ray diffraction stick pattern, a wavelength of 1.5418 Å. Input: the PBE geometry in Alexandria.
Lines closer than 0.1° are merged.

Cell and atoms:
```
data_Tb8Er6Zr
_cell_length_a 9.727
_cell_length_b 9.727
_cell_length_c 5.761
_cell_angle_alpha 90.00
_cell_angle_beta 90.00
_cell_angle_gamma 120.00
_space_group_name_H-M_alt 'P 1'
_space_group_IT_number 1
loop_
_space_group_symop_operation_xyz
'x,y,z'
loop_
_atom_site_label
_atom_site_type_symbol
_atom_site_fract_x
_atom_site_fract_y
_atom_site_fract_z
Tb1 Tb 0.051 0.781 0.264
Tb2 Tb 0.219 0.271 0.264
Tb3 Tb 0.271 0.051 0.736
Tb4 Tb 0.333 0.667 0.264
Tb5 Tb 0.667 0.333 0.736
Tb6 Tb 0.729 0.949 0.264
Tb7 Tb 0.781 0.729 0.736
Tb8 Tb 0.949 0.219 0.736
Er1 Er 0.093 0.620 0.752
Er2 Er 0.380 0.473 0.752
Er3 Er 0.473 0.093 0.248
Er4 Er 0.527 0.907 0.752
Er5 Er 0.620 0.527 0.248
Er6 Er 0.907 0.380 0.248
Zr1 Zr 0.000 0.000 0.000
```

Top 6 peaks for 5 to 70 degrees two-theta, by angle:
| d (Å) | 2θ (°) | Rel. int. | index |
| --- | --- | --- | --- |
| 3.184 | 28.0 | 22 | 1 2 0 |
| 2.881 | 31.0 | 24 | 0 0 2 |
| 2.787 | 32.1 | 100 | 1 2 1 |
| 2.136 | 42.3 | 19 | 3 -1 2 |
| 1.838 | 49.6 | 19 | 4 1 0 |
| 1.644 | 55.9 | 20 | 1 2 3 |



(2)
# CaAl2H4Pb2O4F6
Calculated X-ray diffraction stick pattern, a wavelength of 1.5418 Å. Input: the PBE geometry in Alexandria.
Lines closer than 0.1° are merged.

Cell and atoms:
```
data_CaAl2H4Pb2O4F6
_cell_length_a 5.547
_cell_length_b 6.472
_cell_length_c 7.617
_cell_angle_alpha 65.36
_cell_angle_beta 85.12
_cell_angle_gamma 77.12
_space_group_name_H-M_alt 'P 1'
_space_group_IT_number 1
loop_
_space_group_symop_operation_xyz
'x,y,z'
loop_
_atom_site_label
_atom_site_type_symbol
_atom_site_fract_x
_atom_site_fract_y
_atom_site_fract_z
Ca1 Ca 0.000 0.000 0.000
Al1 Al 0.162 0.472 0.842
Al2 Al 0.838 0.528 0.158
H1 H 0.064 0.303 0.456
H2 H 0.295 0.549 0.107
H3 H 0.705 0.451 0.893
H4 H 0.936 0.697 0.544
Pb1 Pb 0.342 0.905 0.397
Pb2 Pb 0.658 0.095 0.603
O1 O 0.004 0.259 0.361
O2 O 0.146 0.614 0.021
O3 O 0.854 0.386 0.979
O4 O 0.996 0.741 0.639
F1 F 0.141 0.288 0.710
F2 F 0.315 0.190 0.028
F3 F 0.458 0.536 0.744
F4 F 0.542 0.464 0.256
F5 F 0.685 0.810 0.972
F6 F 0.859 0.712 0.290
```

Top 6 peaks for 5 to 70 degrees two-theta, by angle:
| d (Å) | 2θ (°) | Rel. int. | index |
| --- | --- | --- | --- |
| 6.924 | 12.8 | 56 | 0 0 1 |
| 5.751 | 15.4 | 70 | 0 1 0 |
| 4.391 | 20.2 | 44 | 1 1 1 |
| 4.280 | 20.8 | 57 | 1 0 -1 |
| 3.737 | 23.8 | 57 | 0 1 -1 |
| 3.591 | 24.8 | 100 | -1 1 1 |



(3)
# RbLiIn2Br6
Calculated X-ray diffraction stick pattern, a wavelength of 1.5418 Å. Input: the PBE geometry in Alexandria.
Lines closer than 0.1° are merged.

Cell and atoms:
```
data_RbLiIn2Br6
_cell_length_a 7.534
_cell_length_b 7.740
_cell_length_c 8.186
_cell_angle_alpha 64.73
_cell_angle_beta 64.70
_cell_angle_gamma 65.68
_space_group_name_H-M_alt 'P 1'
_space_group_IT_number 1
loop_
_space_group_symop_operation_xyz
'x,y,z'
loop_
_atom_site_label
_atom_site_type_symbol
_atom_site_fract_x
_atom_site_fract_y
_atom_site_fract_z
Rb1 Rb 0.000 0.000 0.000
Li1 Li 0.267 0.628 0.619
In1 In 0.283 0.276 0.200
In2 In 0.767 0.785 0.677
Br1 Br 0.050 0.994 0.573
Br2 Br 0.095 0.602 0.411
Br3 Br 0.512 0.952 0.952
Br4 Br 0.555 0.535 0.758
Br5 Br 0.612 0.077 0.406
Br6 Br 0.985 0.501 0.926
```

Top 6 peaks for 5 to 70 degrees two-theta, by angle:
| d (Å) | 2θ (°) | Rel. int. | index |
| --- | --- | --- | --- |
| 5.831 | 15.2 | 100 | 0 1 1 |
| 5.747 | 15.4 | 79 | 1 0 1 |
| 5.523 | 16.0 | 76 | 1 1 0 |
| 2.915 | 30.7 | 82 | 0 2 2 |
| 2.874 | 31.1 | 71 | 2 0 2 |
| 2.763 | 32.4 | 71 | 2 2 0 |



(4)
# Cs2CaHg6
Calculated X-ray diffraction stick pattern, a wavelength of 1.5418 Å. Input: the PBE geometry in Alexandria.
Lines closer than 0.1° are merged.

Cell and atoms:
```
data_Cs2CaHg6
_cell_length_a 7.421
_cell_length_b 7.421
_cell_length_c 6.761
_cell_angle_alpha 90.00
_cell_angle_beta 90.00
_cell_angle_gamma 120.00
_space_group_name_H-M_alt 'P 1'
_space_group_IT_number 1
loop_
_space_group_symop_operation_xyz
'x,y,z'
loop_
_atom_site_label
_atom_site_type_symbol
_atom_site_fract_x
_atom_site_fract_y
_atom_site_fract_z
Cs1 Cs 0.333 0.667 0.158
Cs2 Cs 0.667 0.333 0.842
Ca1 Ca 0.000 0.000 0.000
Hg1 Hg 0.180 0.359 0.665
Hg2 Hg 0.180 0.820 0.665
Hg3 Hg 0.359 0.180 0.335
Hg4 Hg 0.641 0.820 0.665
Hg5 Hg 0.820 0.180 0.335
Hg6 Hg 0.820 0.641 0.335
```

Top 6 peaks for 5 to 70 degrees two-theta, by angle:
| d (Å) | 2θ (°) | Rel. int. | index |
| --- | --- | --- | --- |
| 6.761 | 13.1 | 17 | 0 0 1 |
| 3.213 | 27.8 | 25 | 2 0 0 |
| 2.992 | 29.9 | 30 | 0 1 2 |
| 2.902 | 30.8 | 100 | 2 0 1 |
| 2.329 | 38.7 | 28 | 0 2 2 |
| 1.855 | 49.1 | 23 | 2 2 0 |



(5)
# LaTbNbN3
Calculated X-ray diffraction stick pattern, a wavelength of 1.5418 Å. Input: the PBE geometry in Alexandria.
Lines closer than 0.1° are merged.

Cell and atoms:
```
data_LaTbNbN3
_cell_length_a 6.887
_cell_length_b 3.408
_cell_length_c 9.451
_cell_angle_alpha 90.00
_cell_angle_beta 94.70
_cell_angle_gamma 90.00
_space_group_name_H-M_alt 'P 1'
_space_group_IT_number 1
loop_
_space_group_symop_operation_xyz
'x,y,z'
loop_
_atom_site_label
_atom_site_type_symbol
_atom_site_fract_x
_atom_site_fract_y
_atom_site_fract_z
La1 La 0.184 0.250 0.230
La2 La 0.816 0.750 0.770
Tb1 Tb 0.353 0.750 0.879
Tb2 Tb 0.647 0.250 0.121
Nb1 Nb 0.137 0.250 0.574
Nb2 Nb 0.863 0.750 0.426
N1 N 0.136 0.250 0.786
N2 N 0.183 0.750 0.455
N3 N 0.387 0.750 0.120
N4 N 0.613 0.250 0.880
N5 N 0.817 0.250 0.545
N6 N 0.864 0.750 0.214
```

Top 6 peaks for 5 to 70 degrees two-theta, by angle:
| d (Å) | 2θ (°) | Rel. int. | index |
| --- | --- | --- | --- |
| 5.777 | 15.3 | 55 | 1 0 -1 |
| 5.343 | 16.6 | 52 | 1 0 1 |
| 2.889 | 31.0 | 56 | 2 0 -2 |
| 2.761 | 32.4 | 72 | 0 1 2 |
| 2.418 | 37.2 | 100 | 2 1 0 |
| 1.578 | 58.5 | 52 | 3 1 3 |



(6)
# LaSb2TeRu
Calculated X-ray diffraction stick pattern, a wavelength of 1.5418 Å. Input: the PBE geometry in Alexandria.
Lines closer than 0.1° are merged.

Cell and atoms:
```
data_LaSb2TeRu
_cell_length_a 5.027
_cell_length_b 5.027
_cell_length_c 5.738
_cell_angle_alpha 90.00
_cell_angle_beta 90.00
_cell_angle_gamma 90.00
_space_group_name_H-M_alt 'P 1'
_space_group_IT_number 1
loop_
_space_group_symop_operation_xyz
'x,y,z'
loop_
_atom_site_label
_atom_site_type_symbol
_atom_site_fract_x
_atom_site_fract_y
_atom_site_fract_z
La1 La 0.000 0.000 0.000
Sb1 Sb 0.000 0.500 0.500
Sb2 Sb 0.500 0.000 0.500
Te1 Te 0.500 0.500 0.000
Ru1 Ru 0.500 0.500 0.500
```

Top 6 peaks for 5 to 70 degrees two-theta, by angle:
| d (Å) | 2θ (°) | Rel. int. | index |
| --- | --- | --- | --- |
| 3.022 | 29.6 | 100 | 1 1 1 |
| 2.869 | 31.2 | 50 | 0 0 2 |
| 2.514 | 35.7 | 70 | 2 0 0 |
| 1.891 | 48.1 | 59 | 2 0 2 |
| 1.532 | 60.4 | 26 | 3 1 1 |
| 1.511 | 61.4 | 28 | 2 2 2 |